# Na6Sm4Ge4Se17
Theoretical powder diffractogram, Cu Kα (λ = 1.5418 Å). Input: a crystal structure in the Materials Project, relaxed with GGA-PBE.
No peak broadening, texture or thermal motion is included.

Top 10 peaks for 10° ≤ 2θ ≤ 90°, low angle first:
d [Å]	I/Imax
6.216	88
3.127	75
3.113	46
3.073	100
3.053	61
2.786	77
2.774	58
2.703	47
2.646	46
2.541	97

Cell and atoms:
```
31
Lattice="11.5385 -5.5698 0.0000 11.5385 5.5698 0.0000 -1.5872 0.0000 6.8092" Properties=species:S:1:pos:R:3 pbc="T T T"
Na -0.2299 0.0000 1.6525
Na 8.2215 1.9797 4.8021
Na 9.1310 1.9409 1.0706
Na 13.2683 1.9797 2.0070
Na 12.3589 1.9409 5.7385
Na 21.7198 0.0000 5.1566
Sm 3.7530 0.3747 2.8848
Sm 7.1217 -2.0806 0.5744
Sm 17.7368 0.3747 3.9243
Sm 14.3681 -2.0806 6.2348
Ge 2.0729 -0.3594 6.0559
Ge 7.1332 -1.4477 4.2154
Ge 14.3567 -1.4477 2.5937
Ge 19.4169 -0.3594 0.7533
Se 8.6427 4.3612 2.8640
Se 4.1803 0.7354 5.8224
Se 12.8471 4.3612 3.9452
Se 11.5385 3.1510 0.0000
Se 6.8666 0.2605 2.5552
Se 4.0760 -1.9690 0.9556
Se 7.9241 -0.6638 6.2853
Se 4.9672 -2.4666 4.4312
Se 13.5657 -0.6638 0.5239
Se 14.6232 0.2605 4.2539
Se 8.3915 -3.1294 3.1240
Se 17.3096 0.7354 0.9868
Se 7.6427 -4.2750 6.5282
Se 13.0983 -3.1294 3.6851
Se 16.5227 -2.4666 2.3779
Se 13.8471 -4.2750 0.2809
Se 17.4138 -1.9690 5.8535
```